Computed powder diffractogram
Compound: Sm2SCl2O
Radiation: λ = 1.5418 Å (Cu Kα)
Structure: a cell relaxed with PBE

Structural model:
Unit cell a=3.917 b=10.882 c=7.168 alpha=90.00 beta=90.00 gamma=90.00
Positions (direct):
1 Sm 0.000 0.066 0.000
2 Sm 0.000 0.934 0.500
3 Sm 0.500 0.235 0.401
4 Sm 0.500 0.765 0.901
5 S 0.500 0.070 0.691
6 S 0.500 0.930 0.191
7 Cl 0.000 0.396 0.526
8 Cl 0.000 0.604 0.026
9 Cl 0.500 0.266 0.023
10 Cl 0.500 0.734 0.523
11 O 0.000 0.128 0.330
12 O 0.000 0.872 0.830

Main lines, in order of falling intensity (2θ = 10–80°):
| Position (°2θ) | d_spacing | intensity |
| --- | --- | --- |
| 28.07 | 3.179 | 1000 |
| 37.83 | 2.378 | 759 |
| 30.77 | 2.906 | 684 |
| 14.80 | 5.986 | 661 |
| 24.84 | 3.584 | 619 |
| 27.56 | 3.237 | 610 |

---

Computed powder diffractogram
Compound: LiTi2Mo
Radiation: λ = 1.5418 Å (Cu Kα)
Structure: a cell relaxed with PBE

Structural model:
Unit cell a=4.398 b=4.398 c=3.222 alpha=90.00 beta=90.00 gamma=90.00
Positions (direct):
1 Li 0.000 0.000 0.000
2 Ti 0.000 0.500 0.500
3 Ti 0.500 0.000 0.500
4 Mo 0.500 0.500 0.000

Main lines, in order of falling intensity (2θ = 10–80°):
| Position (°2θ) | d_spacing | intensity |
| --- | --- | --- |
| 40.31 | 2.237 | 1000 |
| 20.19 | 4.398 | 680 |
| 41.04 | 2.199 | 474 |
| 34.51 | 2.599 | 346 |
| 74.28 | 1.277 | 297 |
| 54.67 | 1.679 | 176 |

---

Computed powder diffractogram
Compound: Mg3In4Bi5
Radiation: λ = 1.5418 Å (Cu Kα)
Structure: a cell relaxed with PBE

Structural model:
Unit cell a=5.649 b=7.541 c=9.264 alpha=70.58 beta=73.51 gamma=88.24
Positions (direct):
1 Mg 0.000 0.000 0.000
2 Mg 0.211 0.629 0.531
3 Mg 0.789 0.371 0.469
4 In 0.282 0.071 0.328
5 In 0.370 0.549 0.198
6 In 0.630 0.451 0.802
7 In 0.718 0.929 0.672
8 Bi 0.117 0.680 0.854
9 Bi 0.226 0.205 0.622
10 Bi 0.500 0.000 0.000
11 Bi 0.774 0.795 0.378
12 Bi 0.883 0.320 0.146

Main lines, in order of falling intensity (2θ = 10–80°):
| Position (°2θ) | d_spacing | intensity |
| --- | --- | --- |
| 30.20 | 2.960 | 1000 |
| 31.72 | 2.821 | 895 |
| 31.12 | 2.874 | 870 |
| 32.36 | 2.767 | 835 |
| 22.88 | 3.886 | 694 |
| 28.20 | 3.165 | 655 |

---

Computed powder diffractogram
Compound: SrTl2InF6
Radiation: λ = 1.5418 Å (Cu Kα)
Structure: a cell relaxed with PBE

Structural model:
Unit cell a=6.486 b=9.260 c=6.668 alpha=90.00 beta=90.00 gamma=90.00
Positions (direct):
1 Sr 0.250 0.250 0.232
2 Sr 0.750 0.750 0.768
3 Tl 0.250 0.016 0.713
4 Tl 0.250 0.484 0.713
5 Tl 0.750 0.516 0.287
6 Tl 0.750 0.984 0.287
7 In 0.250 0.750 0.258
8 In 0.750 0.250 0.742
9 F 0.002 0.250 0.508
10 F 0.006 0.750 0.027
11 F 0.250 0.509 0.285
12 F 0.250 0.991 0.285
13 F 0.494 0.750 0.027
14 F 0.498 0.250 0.508
15 F 0.502 0.750 0.492
16 F 0.506 0.250 0.973
17 F 0.750 0.009 0.715
18 F 0.750 0.491 0.715
19 F 0.994 0.250 0.973
20 F 0.998 0.750 0.492

Main lines, in order of falling intensity (2θ = 10–80°):
| Position (°2θ) | d_spacing | intensity |
| --- | --- | --- |
| 27.18 | 3.281 | 1000 |
| 38.74 | 2.325 | 297 |
| 27.50 | 3.243 | 259 |
| 26.74 | 3.334 | 234 |
| 48.43 | 1.879 | 212 |
| 56.07 | 1.640 | 180 |

---

Computed powder diffractogram
Compound: Nd5Se4N
Radiation: λ = 1.5418 Å (Cu Kα)
Structure: a cell relaxed with PBE

Structural model:
Unit cell a=15.076 b=15.076 c=15.076 alpha=164.27 beta=164.27 gamma=22.32
Positions (direct):
1 Nd 0.000 0.000 0.000
2 Nd 0.205 0.205 0.000
3 Nd 0.419 0.419 0.000
4 Nd 0.581 0.581 0.000
5 Nd 0.795 0.795 0.000
6 Se 0.100 0.100 0.000
7 Se 0.307 0.307 0.000
8 Se 0.693 0.693 0.000
9 Se 0.900 0.900 0.000
10 N 0.500 0.500 0.000

Main lines, in order of falling intensity (2θ = 10–80°):
| Position (°2θ) | d_spacing | intensity |
| --- | --- | --- |
| 30.64 | 2.918 | 1000 |
| 43.57 | 2.077 | 476 |
| 30.22 | 2.957 | 387 |
| 43.88 | 2.063 | 370 |
| 26.33 | 3.385 | 296 |
| 34.90 | 2.571 | 285 |

---

Computed powder diffractogram
Compound: Pr6Bi3Sb2Pb
Radiation: λ = 1.5418 Å (Cu Kα)
Structure: a cell relaxed with PBE

Structural model:
Unit cell a=10.284 b=10.284 c=9.223 alpha=102.62 beta=102.62 gamma=25.87
Positions (direct):
1 Pr 0.002 0.002 0.252
2 Pr 0.331 0.331 0.420
3 Pr 0.333 0.333 0.911
4 Pr 0.667 0.667 0.089
5 Pr 0.669 0.669 0.580
6 Pr 0.998 0.998 0.748
7 Bi 0.166 0.166 0.834
8 Bi 0.500 0.500 0.500
9 Bi 0.834 0.834 0.166
10 Sb 0.167 0.167 0.334
11 Sb 0.833 0.833 0.666
12 Pb 0.500 0.500 0.000

Main lines, in order of falling intensity (2θ = 10–80°):
| Position (°2θ) | d_spacing | intensity |
| --- | --- | --- |
| 27.38 | 3.257 | 1000 |
| 39.04 | 2.307 | 393 |
| 39.18 | 2.299 | 389 |
| 48.46 | 1.879 | 212 |
| 56.50 | 1.629 | 135 |
| 63.82 | 1.458 | 124 |

---

Computed powder diffractogram
Compound: H4AuI2
Radiation: λ = 1.5418 Å (Cu Kα)
Structure: a cell relaxed with PBE

Structural model:
Unit cell a=8.525 b=8.537 c=3.780 alpha=90.00 beta=90.14 gamma=90.00
Positions (direct):
1 H 0.000 0.000 0.000
2 H 0.005 0.500 0.000
3 H 0.251 0.249 0.000
4 H 0.251 0.751 0.000
5 H 0.500 0.500 0.000
6 H 0.505 0.000 0.000
7 H 0.751 0.251 0.000
8 H 0.751 0.749 0.000
9 Au 0.000 0.000 0.500
10 Au 0.500 0.500 0.500
11 I 0.250 0.250 0.500
12 I 0.250 0.750 0.500
13 I 0.750 0.250 0.500
14 I 0.750 0.750 0.500

Main lines, in order of falling intensity (2θ = 10–80°):
| Position (°2θ) | d_spacing | intensity |
| --- | --- | --- |
| 29.62 | 3.016 | 1000 |
| 38.17 | 2.358 | 962 |
| 14.68 | 6.032 | 956 |
| 23.54 | 3.780 | 835 |
| 27.85 | 3.203 | 438 |
| 42.38 | 2.133 | 375 |

---

Computed powder diffractogram
Compound: PrNd5Sb5
Radiation: λ = 1.5418 Å (Cu Kα)
Structure: a cell relaxed with PBE

Structural model:
Unit cell a=7.769 b=7.769 c=8.984 alpha=106.74 beta=106.74 gamma=48.36
Positions (direct):
1 Pr 0.000 0.000 0.000
2 Nd 0.000 0.000 0.500
3 Nd 0.332 0.332 0.667
4 Nd 0.333 0.333 0.165
5 Nd 0.667 0.667 0.835
6 Nd 0.668 0.668 0.333
7 Sb 0.167 0.167 0.337
8 Sb 0.168 0.168 0.831
9 Sb 0.500 0.500 0.000
10 Sb 0.832 0.832 0.169
11 Sb 0.833 0.833 0.663

Main lines, in order of falling intensity (2θ = 10–80°):
| Position (°2θ) | d_spacing | intensity |
| --- | --- | --- |
| 28.09 | 3.176 | 1000 |
| 40.13 | 2.247 | 638 |
| 49.72 | 1.834 | 274 |
| 65.68 | 1.422 | 206 |
| 72.89 | 1.298 | 130 |
| 40.23 | 2.242 | 127 |

---

Computed powder diffractogram
Compound: AcAl4Cd
Radiation: λ = 1.5418 Å (Cu Kα)
Structure: a cell relaxed with PBE

Structural model:
Unit cell a=5.770 b=5.770 c=5.770 alpha=60.00 beta=60.00 gamma=60.00
Positions (direct):
1 Ac 0.000 0.000 0.000
2 Al 0.375 0.375 0.375
3 Al 0.375 0.375 0.876
4 Al 0.375 0.876 0.375
5 Al 0.876 0.375 0.375
6 Cd 0.750 0.750 0.750

Main lines, in order of falling intensity (2θ = 10–80°):
| Position (°2θ) | d_spacing | intensity |
| --- | --- | --- |
| 36.52 | 2.460 | 1000 |
| 31.00 | 2.885 | 961 |
| 18.84 | 4.711 | 716 |
| 55.14 | 1.666 | 381 |
| 58.81 | 1.570 | 336 |
| 64.62 | 1.442 | 204 |

---

Computed powder diffractogram
Compound: Er3Al8Pt3
Radiation: λ = 1.5418 Å (Cu Kα)
Structure: a cell relaxed with PBE

Structural model:
Unit cell a=8.092 b=8.092 c=9.334 alpha=124.78 beta=124.78 gamma=31.17
Positions (direct):
1 Er 0.000 0.000 0.000
2 Er 0.286 0.286 0.290
3 Er 0.714 0.714 0.710
4 Al 0.137 0.137 0.428
5 Al 0.151 0.151 0.867
6 Al 0.349 0.349 0.718
7 Al 0.496 0.496 0.329
8 Al 0.504 0.504 0.671
9 Al 0.651 0.651 0.282
10 Al 0.849 0.849 0.133
11 Al 0.863 0.863 0.572
12 Pt 0.000 0.000 0.500
13 Pt 0.354 0.354 0.995
14 Pt 0.646 0.646 0.005

Main lines, in order of falling intensity (2θ = 10–80°):
| Position (°2θ) | d_spacing | intensity |
| --- | --- | --- |
| 29.61 | 3.016 | 1000 |
| 35.51 | 2.528 | 910 |
| 28.99 | 3.080 | 497 |
| 19.02 | 4.667 | 495 |
| 41.53 | 2.174 | 494 |
| 11.80 | 7.500 | 481 |

---

Computed powder diffractogram
Compound: Cs3Hg2I8
Radiation: λ = 1.5418 Å (Cu Kα)
Structure: a cell relaxed with PBE

Structural model:
Unit cell a=12.242 b=12.242 c=12.242 alpha=39.92 beta=39.92 gamma=39.92
Positions (direct):
1 Cs 0.000 0.000 0.000
2 Cs 0.208 0.208 0.208
3 Cs 0.792 0.792 0.792
4 Hg 0.403 0.403 0.403
5 Hg 0.597 0.597 0.597
6 I 0.203 0.742 0.742
7 I 0.258 0.258 0.797
8 I 0.258 0.797 0.258
9 I 0.321 0.321 0.321
10 I 0.679 0.679 0.679
11 I 0.742 0.203 0.742
12 I 0.742 0.742 0.203
13 I 0.797 0.258 0.258

Main lines, in order of falling intensity (2θ = 10–80°):
| Position (°2θ) | d_spacing | intensity |
| --- | --- | --- |
| 21.26 | 4.179 | 1000 |
| 27.97 | 3.190 | 829 |
| 43.30 | 2.090 | 724 |
| 25.17 | 3.539 | 708 |
| 29.19 | 3.059 | 661 |
| 38.46 | 2.341 | 540 |

---

Computed powder diffractogram
Compound: PuGa4Au6
Radiation: λ = 1.5418 Å (Cu Kα)
Structure: a cell relaxed with PBE

Structural model:
Unit cell a=6.824 b=6.824 c=6.824 alpha=118.54 beta=118.54 gamma=92.55
Positions (direct):
1 Pu 0.000 0.000 0.000
2 Ga 0.135 0.558 0.000
3 Ga 0.442 0.442 0.577
4 Ga 0.558 0.135 0.000
5 Ga 0.865 0.865 0.423
6 Au 0.000 0.500 0.500
7 Au 0.217 0.217 0.681
8 Au 0.464 0.783 0.000
9 Au 0.500 0.000 0.500
10 Au 0.536 0.536 0.319
11 Au 0.783 0.464 0.000

Main lines, in order of falling intensity (2θ = 10–80°):
| Position (°2θ) | d_spacing | intensity |
| --- | --- | --- |
| 30.18 | 2.962 | 1000 |
| 31.91 | 2.804 | 864 |
| 46.48 | 1.954 | 811 |
| 39.94 | 2.257 | 763 |
| 31.20 | 2.867 | 635 |
| 36.43 | 2.466 | 596 |